1.
Theoretical X-ray diffraction stick pattern of Na3VO4 for Cu Ka, from a crystal structure in the Materials Project, relaxed with GGA+U.

Largest 8 diffraction maxima, sorted by position, 15° ≤ 2θ ≤ 90°:
two_theta	d_spacing	I/Imax
18.6	4.776	10
19.8	4.495	33
31.1	2.876	100
35.2	2.547	9
50.7	1.801	16
52.5	1.742	29
60.7	1.526	20
63.9	1.456	9

```
data_Na3VO4
_cell_length_a 5.982
_cell_length_b 5.982
_cell_length_c 5.982
_cell_angle_alpha 129.60
_cell_angle_beta 129.60
_cell_angle_gamma 74.05
_symmetry_space_group_name_H-M 'P 1'
_symmetry_Int_Tables_number 1
loop_
_symmetry_equiv_pos_as_xyz
'x,y,z'
loop_
_atom_site_label
_atom_site_type_symbol
_atom_site_fract_x
_atom_site_fract_y
_atom_site_fract_z
_atom_site_occupancy
Na1 Na 0.000 0.000 0.000 1
Na2 Na 0.250 0.750 0.500 1
Na3 Na 0.750 0.250 0.500 1
V1 V 0.500 0.500 0.000 1
O1 O 0.196 0.594 0.000 1
O2 O 0.406 0.406 0.601 1
O3 O 0.594 0.196 0.000 1
O4 O 0.804 0.804 0.399 1
```



2.
Theoretical X-ray diffraction stick pattern of NaVO3 for Cu Ka, from a crystal structure in the Materials Project, relaxed with GGA+U.

Largest 8 diffraction maxima, sorted by position, 15° ≤ 2θ ≤ 90°:
two_theta	d_spacing	I/Imax
16.3	5.451	27
25.2	3.532	100
26.3	3.385	15
28.7	3.114	8
33.1	2.704	27
42.2	2.139	13
48.5	1.877	10
48.7	1.869	14

```
data_NaVO3
_cell_length_a 7.817
_cell_length_b 7.817
_cell_length_c 7.817
_cell_angle_alpha 106.85
_cell_angle_beta 91.58
_cell_angle_gamma 133.04
_symmetry_space_group_name_H-M 'P 1'
_symmetry_Int_Tables_number 1
loop_
_symmetry_equiv_pos_as_xyz
'x,y,z'
loop_
_atom_site_label
_atom_site_type_symbol
_atom_site_fract_x
_atom_site_fract_y
_atom_site_fract_z
_atom_site_occupancy
Na1 Na 0.250 0.043 0.793 1
Na2 Na 0.250 0.457 0.207 1
Na3 Na 0.750 0.543 0.793 1
Na4 Na 0.750 0.957 0.207 1
V1 V 0.220 0.585 0.804 1
V2 V 0.280 0.085 0.365 1
V3 V 0.720 0.915 0.635 1
V4 V 0.780 0.415 0.196 1
O1 O 0.081 0.750 0.331 1
O2 O 0.127 0.107 0.233 1
O3 O 0.154 0.746 0.900 1
O4 O 0.346 0.246 0.592 1
O5 O 0.373 0.607 0.980 1
O6 O 0.419 0.750 0.669 1
O7 O 0.581 0.250 0.331 1
O8 O 0.627 0.393 0.020 1
O9 O 0.654 0.754 0.408 1
O10 O 0.846 0.254 0.100 1
O11 O 0.873 0.893 0.767 1
O12 O 0.919 0.250 0.669 1
```



3.
Theoretical X-ray diffraction stick pattern of NaV2O4 for Cu Ka, from a crystal structure in the Materials Project, relaxed with GGA+U.

Largest 8 diffraction maxima, sorted by position, 15° ≤ 2θ ≤ 90°:
two_theta	d_spacing	I/Imax
15.4	5.763	100
31.0	2.881	10
39.8	2.266	20
40.0	2.253	20
42.2	2.141	19
50.1	1.822	7
50.3	1.813	6
56.0	1.642	9

```
data_NaV2O4
_cell_length_a 5.085
_cell_length_b 6.077
_cell_length_c 6.661
_cell_angle_alpha 62.90
_cell_angle_beta 77.74
_cell_angle_gamma 89.64
_symmetry_space_group_name_H-M 'P 1'
_symmetry_Int_Tables_number 1
loop_
_symmetry_equiv_pos_as_xyz
'x,y,z'
loop_
_atom_site_label
_atom_site_type_symbol
_atom_site_fract_x
_atom_site_fract_y
_atom_site_fract_z
_atom_site_occupancy
Na1 Na 0.000 0.000 0.000 1
Na2 Na 0.495 0.396 0.999 1
V1 V 0.494 0.833 0.495 1
V2 V 0.500 0.322 0.501 1
V3 V 0.995 0.072 0.499 1
V4 V 0.999 0.562 0.504 1
O1 O 0.210 0.412 0.321 1
O2 O 0.230 0.906 0.316 1
O3 O 0.266 0.489 0.682 1
O4 O 0.284 0.981 0.679 1
O5 O 0.709 0.159 0.311 1
O6 O 0.732 0.665 0.325 1
O7 O 0.764 0.731 0.673 1
O8 O 0.785 0.237 0.689 1
```



Which formula does entry 1 have?
Na3VO4